Theoretical powder X-ray diffraction pattern
Compound: Sr2VBrO4
Radiation: Cu Kα X-rays
Structure: a cell relaxed with PBE+U

Crystal structure
```
Sr2VBrO4
1.0
6.631 0.000 0.000
0.000 7.620 0.000
0.000 0.000 11.772
Sr V Br O
8 4 4 16
direct
0.119 0.032 0.250
0.119 0.468 0.750
0.379 0.750 0.000
0.379 0.750 0.500
0.621 0.250 0.000
0.621 0.250 0.500
0.881 0.532 0.250
0.881 0.968 0.750
0.123 0.250 0.000
0.123 0.250 0.500
0.877 0.750 0.000
0.877 0.750 0.500
0.454 0.145 0.750
0.454 0.355 0.250
0.546 0.645 0.750
0.546 0.855 0.250
0.036 0.728 0.619
0.036 0.728 0.881
0.036 0.772 0.119
0.036 0.772 0.381
0.280 0.073 0.029
0.280 0.073 0.471
0.280 0.427 0.529
0.280 0.427 0.971
0.720 0.573 0.029
0.720 0.573 0.471
0.720 0.927 0.529
0.720 0.927 0.971
0.964 0.228 0.619
0.964 0.228 0.881
0.964 0.272 0.119
0.964 0.272 0.381
```

Main lines, in order of rising 2θ (2θ = 15–90°):
Position (°2θ), I_rel
19.28, 22
27.89, 59
28.05, 31
30.37, 100
33.17, 50
35.52, 23
37.42, 22
41.07, 23
47.68, 29
63.17, 24